1.
For Li8BiPd6, a crystal structure in Alexandria, relaxed with GGA-PBE gives the simulated X-ray diffraction stick pattern in this record (Cu Kα (λ = 1.5418 Å)).
Intensities are scaled so that the largest is 100.

Crystal structure
Cell lengths 6.807, 6.807, 6.807 Å; angles 69.76, 69.76, 69.76 degrees
Fractional positions:
Li: 0.036 0.379 0.716
Li: 0.162 0.162 0.162
Li: 0.284 0.964 0.621
Li: 0.379 0.716 0.036
Li: 0.621 0.284 0.964
Li: 0.716 0.036 0.379
Li: 0.838 0.838 0.838
Li: 0.964 0.621 0.284
Bi: 0.500 0.500 0.500
Pd: 0.116 0.800 0.462
Pd: 0.200 0.538 0.884
Pd: 0.462 0.116 0.800
Pd: 0.538 0.884 0.200
Pd: 0.800 0.462 0.116
Pd: 0.884 0.200 0.538

Most intense lines, 10 to 90 degrees two-theta, sorted by position:
| Position (°2θ) | intensity |
| --- | --- |
| 14.4 | 33 |
| 17.3 | 100 |
| 17.5 | 21 |
| 28.8 | 56 |
| 40.1 | 65 |
| 42.3 | 55 |
| 44.0 | 55 |
| 59.2 | 17 |
| 59.7 | 19 |
| 74.4 | 19 |

=====

2.
For Li2Bi2Pd3, a crystal structure in Alexandria, relaxed with GGA-PBE gives the simulated X-ray diffraction stick pattern in this record (Cu Kα (λ = 1.5418 Å)).
Intensities are scaled so that the largest is 100.

Crystal structure
Cell lengths 5.636, 5.933, 8.991 Å; angles 90.00, 121.01, 90.00 degrees
Fractional positions:
Li: 0.153 0.229 0.205
Li: 0.153 0.271 0.705
Li: 0.847 0.729 0.295
Li: 0.847 0.771 0.795
Bi: 0.254 0.701 0.194
Bi: 0.254 0.799 0.694
Bi: 0.746 0.201 0.306
Bi: 0.746 0.299 0.806
Pd: 0.250 0.053 0.981
Pd: 0.250 0.447 0.481
Pd: 0.500 0.000 0.500
Pd: 0.500 0.500 0.000
Pd: 0.750 0.553 0.519
Pd: 0.750 0.947 0.019

Most intense lines, 10 to 90 degrees two-theta, sorted by position:
| Position (°2θ) | intensity |
| --- | --- |
| 23.8 | 94 |
| 25.7 | 100 |
| 27.6 | 48 |
| 36.9 | 44 |
| 37.2 | 43 |
| 38.3 | 84 |
| 38.8 | 47 |
| 39.7 | 36 |
| 40.5 | 58 |
| 49.8 | 42 |

=====

3.
For Li2BiPd8, a crystal structure in Alexandria, relaxed with GGA-PBE gives the simulated X-ray diffraction stick pattern in this record (Cu Kα (λ = 1.5418 Å)).
Intensities are scaled so that the largest is 100.

Crystal structure
Cell lengths 7.358, 7.358, 7.358 Å; angles 146.54, 125.64, 65.36 degrees
Fractional positions:
Li: 0.195 0.195 0.000
Li: 0.805 0.805 0.000
Bi: 0.500 0.500 0.000
Pd: 0.056 0.342 0.714
Pd: 0.196 0.000 0.196
Pd: 0.342 0.842 0.500
Pd: 0.373 0.658 0.714
Pd: 0.627 0.342 0.286
Pd: 0.658 0.158 0.500
Pd: 0.804 0.000 0.804
Pd: 0.944 0.658 0.286

Most intense lines, 10 to 90 degrees two-theta, sorted by position:
| Position (°2θ) | intensity |
| --- | --- |
| 15.0 | 23 |
| 28.8 | 41 |
| 38.4 | 30 |
| 40.6 | 100 |
| 40.9 | 22 |
| 42.7 | 26 |
| 43.9 | 23 |
| 60.6 | 14 |
| 62.9 | 15 |
| 76.8 | 15 |